The following is a computed powder diffractogram of Li2Ni3O6. It was derived from a PBE+U-relaxed structure, using copper Kα.
Intensities are scaled so that the largest is 100.

Structure:
Unit cell a=4.892 b=4.892 c=10.201 alpha=103.82 beta=103.82 gamma=61.45
Atoms (fractional coordinates):
Li  0.079  0.921  0.500
Li  0.578  0.755  0.000
Li  0.755  0.578  0.500
Li  0.921  0.079  0.000
Ni  0.167  0.333  0.750
Ni  0.333  0.167  0.250
Ni  0.497  0.661  0.740
Ni  0.661  0.497  0.240
Ni  0.831  0.995  0.741
Ni  0.995  0.831  0.241
O  0.027  0.182  0.351
O  0.103  0.648  0.637
O  0.182  0.027  0.851
O  0.279  0.825  0.142
O  0.363  0.541  0.343
O  0.476  0.940  0.639
O  0.541  0.363  0.843
O  0.648  0.103  0.137
O  0.729  0.853  0.351
O  0.825  0.279  0.642
O  0.853  0.729  0.851
O  0.940  0.476  0.139

Largest 10 diffraction maxima, by angle, 2θ = 15–90°:
| 2theta | I (rel.) |
| --- | --- |
| 18.1 | 100 |
| 36.7 | 9 |
| 37.1 | 14 |
| 37.9 | 24 |
| 41.3 | 12 |
| 45.7 | 13 |
| 46.3 | 13 |
| 46.5 | 13 |
| 65.1 | 10 |
| 68.2 | 9 |